Entry 1:
Structure and calculated X-ray powder pattern of SrMo2Se2O11 (a DFT-relaxed cell (GGA+U, the Materials Project); copper Kα).
Intensities are scaled so that the largest is 100.

The 10 most intense peaks (10 to 90 degrees two-theta), by angle:
index, d [Å], Rel. int.
0 0 1, 8.155, 26.4
1 0 0, 6.849, 46.4
2 0 1, 3.736, 16.8
0 1 2, 3.535, 100.0
0 2 -1, 3.517, 72.5
2 0 0, 3.424, 43.3
1 2 -1, 3.370, 38.7
1 0 3, 2.966, 15.5
-1 2 1, 2.577, 26.1
1 4 -2, 1.778, 15.2

Crystal structure
```
data_SrMo2Se2O11
_symmetry_space_group_name_H-M 'P 1'
_symmetry_Int_Tables_number 1
_symmetry_space_group_name_Hall 'P 1'
_cell_length_a 8.102
_cell_length_b 8.277
_cell_length_c 8.965
_cell_angle_alpha 83.05
_cell_angle_beta 65.59
_cell_angle_gamma 67.29
loop_
_atom_site_label
_atom_site_type_symbol
_atom_site_fract_x
_atom_site_fract_y
_atom_site_fract_z
_atom_site_occupancy
Sr1 Sr 0.069 0.226 0.476 1
Sr2 Sr 0.931 0.774 0.524 1
Mo1 Mo 0.219 0.969 0.049 1
Mo2 Mo 0.224 0.379 0.805 1
Mo3 Mo 0.776 0.621 0.195 1
Mo4 Mo 0.781 0.031 0.951 1
Se1 Se 0.251 0.551 0.145 1
Se2 Se 0.261 0.778 0.687 1
Se3 Se 0.739 0.222 0.313 1
Se4 Se 0.749 0.449 0.855 1
O1 O 0.097 0.522 0.063 1
O2 O 0.103 0.907 0.873 1
O3 O 0.124 0.778 0.193 1
O4 O 0.140 0.633 0.716 1
O5 O 0.167 0.485 0.337 1
O6 O 0.182 0.902 0.550 1
O7 O 0.230 0.172 0.925 1
O8 O 0.246 0.036 0.212 1
O9 O 0.263 0.289 0.621 1
O10 O 0.442 0.811 0.930 1
O11 O 0.445 0.390 0.779 1
O12 O 0.555 0.610 0.221 1
O13 O 0.558 0.189 0.070 1
O14 O 0.737 0.711 0.379 1
O15 O 0.754 0.964 0.788 1
O16 O 0.770 0.828 0.075 1
O17 O 0.818 0.098 0.450 1
O18 O 0.833 0.515 0.663 1
O19 O 0.860 0.367 0.284 1
O20 O 0.876 0.222 0.807 1
O21 O 0.897 0.093 0.127 1
O22 O 0.903 0.478 0.937 1
```

---

Entry 2:
Structure and calculated X-ray powder pattern of Te2W2N2O (a DFT-relaxed cell (GGA+U, the Materials Project); copper Kα).
Intensities are scaled so that the largest is 100.

The 10 most intense peaks (10 to 90 degrees two-theta), by angle:
index, d [Å], Rel. int.
0 1 1, 4.844, 100.0
1 0 1, 4.779, 28.4
2 1 1, 3.080, 39.9
2 2 0, 2.875, 39.0
0 3 1, 2.509, 15.3
0 2 2, 2.422, 19.8
2 0 2, 2.390, 27.3
2 3 1, 2.124, 28.5
2 1 3, 1.741, 16.5
0 3 3, 1.614, 17.4

Crystal structure
```
data_Te2W2N2O
_symmetry_space_group_name_H-M 'P 1'
_symmetry_Int_Tables_number 1
_symmetry_space_group_name_Hall 'P 1'
_cell_length_a 7.980
_cell_length_b 8.294
_cell_length_c 5.968
_cell_angle_alpha 90.00
_cell_angle_beta 90.00
_cell_angle_gamma 90.00
loop_
_atom_site_label
_atom_site_type_symbol
_atom_site_fract_x
_atom_site_fract_y
_atom_site_fract_z
_atom_site_occupancy
Te1 Te 0.000 0.172 0.000 1
Te2 Te 0.000 0.828 0.000 1
Te3 Te 0.500 0.328 0.500 1
Te4 Te 0.500 0.672 0.500 1
W1 W 0.230 0.500 0.306 1
W2 W 0.270 0.000 0.806 1
W3 W 0.730 0.000 0.806 1
W4 W 0.770 0.500 0.306 1
N1 N 0.245 0.500 0.018 1
N2 N 0.255 0.000 0.518 1
N3 N 0.745 0.000 0.518 1
N4 N 0.755 0.500 0.018 1
O1 O 0.000 0.500 0.414 1
O2 O 0.500 0.000 0.914 1
```

---

Entry 3:
Structure and calculated X-ray powder pattern of Sr2AlTlV2O7 (a DFT-relaxed cell (GGA+U, the Materials Project); copper Kα).
Intensities are scaled so that the largest is 100.

The 10 most intense peaks (10 to 90 degrees two-theta), by angle:
index, d [Å], Rel. int.
1 0 2, 3.267, 33.9
1 0 3, 2.864, 100.0
0 0 5, 2.661, 22.4
1 1 0, 2.652, 48.4
1 1 1, 2.601, 26.4
2 0 0, 1.877, 43.6
1 1 6, 1.701, 25.3
2 1 3, 1.569, 33.2
2 0 5, 1.533, 14.9
2 1 8, 1.181, 14.3

Crystal structure
```
data_Sr2AlTlV2O7
_symmetry_space_group_name_H-M 'P 1'
_symmetry_Int_Tables_number 1
_symmetry_space_group_name_Hall 'P 1'
_cell_length_a 3.751
_cell_length_b 3.751
_cell_length_c 13.303
_cell_angle_alpha 90.00
_cell_angle_beta 90.00
_cell_angle_gamma 90.00
loop_
_atom_site_label
_atom_site_type_symbol
_atom_site_fract_x
_atom_site_fract_y
_atom_site_fract_z
_atom_site_occupancy
Sr1 Sr 0.000 0.000 0.182 1
Sr2 Sr 0.000 0.000 0.818 1
Al1 Al 0.000 0.000 0.500 1
Tl1 Tl 0.500 0.500 0.000 1
V1 V 0.500 0.500 0.361 1
V2 V 0.500 0.500 0.639 1
O1 O 0.000 0.000 0.000 1
O2 O 0.000 0.500 0.408 1
O3 O 0.000 0.500 0.592 1
O4 O 0.500 0.000 0.408 1
O5 O 0.500 0.000 0.592 1
O6 O 0.500 0.500 0.215 1
O7 O 0.500 0.500 0.785 1
```